No. 1
Pu2ZnSn3Pt4: computed X-ray powder pattern (Cu Kα (weighted mean of Kα1 and Kα2)), based on a cell relaxed with GGA-PBE.

The 12 most intense peaks (10 to 90 degrees two-theta), sorted by position:
2θ = 22.21°, intensity 11
2θ = 29.96°, intensity 13
2θ = 30.81°, intensity 61
2θ = 33.55°, intensity 100
2θ = 42.74°, intensity 20
2θ = 42.89°, intensity 54
2θ = 43.36°, intensity 38
2θ = 53.72°, intensity 22
2θ = 62.27°, intensity 18
2θ = 62.63°, intensity 26
2θ = 72.62°, intensity 22
2θ = 78.16°, intensity 12

Atomic structure:
a = 4.2174 Å, b = 4.2174 Å, c = 12.0084 Å
α = 90.00°, β = 90.00°, γ = 90.00°
Sites, in units of the cell vectors:
Pu  0.0000  0.5000  0.2336
Pu  0.5000  0.0000  0.7664
Zn  0.5000  0.5000  0.0000
Sn  0.0000  0.0000  0.0000
Sn  0.0000  0.5000  0.6378
Sn  0.5000  0.0000  0.3622
Pt  0.0000  0.0000  0.5000
Pt  0.0000  0.5000  0.8578
Pt  0.5000  0.0000  0.1422
Pt  0.5000  0.5000  0.5000

No. 2
Tb2Nd3Sm3: computed X-ray powder pattern (Cu Kα (weighted mean of Kα1 and Kα2)), based on a cell relaxed with GGA-PBE.

The 12 most intense peaks (10 to 90 degrees two-theta), sorted by position:
2θ = 28.05°, intensity 24
2θ = 30.55°, intensity 25
2θ = 32.02°, intensity 100
2θ = 41.93°, intensity 8
2θ = 41.97°, intensity 8
2θ = 49.63°, intensity 20
2θ = 55.24°, intensity 21
2θ = 59.41°, intensity 23
2θ = 60.30°, intensity 16
2θ = 77.40°, intensity 7
2θ = 81.77°, intensity 14
2θ = 89.15°, intensity 6

Atomic structure:
a = 5.8521 Å, b = 14.6999 Å, c = 6.3601 Å
α = 90.00°, β = 90.07°, γ = 90.00°
Sites, in units of the cell vectors:
Tb  0.2503  0.1256  0.1636
Tb  0.2503  0.3744  0.1636
Tb  0.7497  0.6256  0.8364
Tb  0.7497  0.8744  0.8364
Nd  0.2500  0.9999  0.6673
Nd  0.2500  0.5001  0.6673
Nd  0.2498  0.7500  0.6698
Nd  0.7500  0.0001  0.3327
Nd  0.7502  0.2500  0.3302
Nd  0.7500  0.4999  0.3327
Sm  0.2496  0.6252  0.1675
Sm  0.2496  0.8748  0.1675
Sm  0.2506  0.2500  0.6632
Sm  0.7494  0.7500  0.3368
Sm  0.7504  0.1252  0.8325
Sm  0.7504  0.3748  0.8325

No. 3
Pr6Hg2O: computed X-ray powder pattern (Cu Kα (weighted mean of Kα1 and Kα2)), based on a cell relaxed with GGA-PBE.

The 12 most intense peaks (10 to 90 degrees two-theta), sorted by position:
2θ = 28.08°, intensity 19
2θ = 29.58°, intensity 100
2θ = 30.36°, intensity 93
2θ = 30.70°, intensity 32
2θ = 31.27°, intensity 44
2θ = 32.48°, intensity 49
2θ = 33.17°, intensity 55
2θ = 33.66°, intensity 56
2θ = 35.04°, intensity 30
2θ = 36.30°, intensity 18
2θ = 38.61°, intensity 29
2θ = 40.35°, intensity 22

Atomic structure:
a = 6.7437 Å, b = 7.2855 Å, c = 12.7235 Å
α = 90.00°, β = 121.88°, γ = 90.00°
Sites, in units of the cell vectors:
Pr  0.1278  0.0075  0.2383
Pr  0.1278  0.4925  0.7383
Pr  0.2174  0.7027  0.0384
Pr  0.2174  0.7973  0.5384
Pr  0.3556  0.1895  0.0385
Pr  0.3556  0.3105  0.5385
Pr  0.6444  0.6895  0.4615
Pr  0.6444  0.8105  0.9615
Pr  0.7826  0.2027  0.4616
Pr  0.7826  0.2973  0.9616
Pr  0.8722  0.5075  0.2617
Pr  0.8722  0.9925  0.7617
Hg  0.3228  0.0883  0.7478
Hg  0.3228  0.4117  0.2478
Hg  0.6772  0.5883  0.7522
Hg  0.6772  0.9117  0.2522
O  0.0000  0.0000  0.0000
O  0.0000  0.5000  0.5000

No. 4
LiEu2CI3N2: computed X-ray powder pattern (Cu Kα (weighted mean of Kα1 and Kα2)), based on a cell relaxed with GGA-PBE.

The 12 most intense peaks (10 to 90 degrees two-theta), sorted by position:
2θ = 20.16°, intensity 22
2θ = 28.66°, intensity 31
2θ = 30.44°, intensity 100
2θ = 33.21°, intensity 31
2θ = 45.67°, intensity 23
2θ = 50.77°, intensity 35
2θ = 51.89°, intensity 11
2θ = 55.17°, intensity 9
2θ = 60.36°, intensity 15
2θ = 63.02°, intensity 14
2θ = 75.55°, intensity 10
2θ = 77.05°, intensity 15

Atomic structure:
a = 10.7896 Å, b = 10.7896 Å, c = 10.7896 Å
α = 60.00°, β = 60.00°, γ = 60.00°
Sites, in units of the cell vectors:
Li  0.0000  0.0000  0.0000
Li  0.0000  0.0000  0.5000
Li  0.0000  0.5000  0.0000
Li  0.5000  0.0000  0.0000
Eu  0.2834  0.2834  0.2834
Eu  0.2834  0.2834  0.6498
Eu  0.2834  0.6498  0.2834
Eu  0.3502  0.7166  0.7166
Eu  0.6498  0.2834  0.2834
Eu  0.7166  0.3502  0.7166
Eu  0.7166  0.7166  0.3502
Eu  0.7166  0.7166  0.7166
C  0.0000  0.5000  0.5000
C  0.5000  0.0000  0.5000
C  0.5000  0.5000  0.0000
C  0.5000  0.5000  0.5000
I  0.0738  0.0738  0.6762
I  0.0738  0.6762  0.0738
I  0.0738  0.6762  0.6762
I  0.3238  0.3238  0.9262
I  0.3238  0.9262  0.3238
I  0.3238  0.9262  0.9262
I  0.6762  0.0738  0.0738
I  0.6762  0.0738  0.6762
I  0.6762  0.6762  0.0738
I  0.9262  0.3238  0.3238
I  0.9262  0.3238  0.9262
I  0.9262  0.9262  0.3238
N  0.1408  0.4531  0.4531
N  0.4531  0.1408  0.4531
N  0.4531  0.4531  0.1408
N  0.4531  0.4531  0.4531
N  0.5469  0.5469  0.5469
N  0.5469  0.5469  0.8592
N  0.5469  0.8592  0.5469
N  0.8592  0.5469  0.5469